Record 1
Starting from the PBE geometry in Alexandria, the PXRD pattern of KCaZn was computed for Cu Kα, 1.54184 Å.

Main lines, in order of falling intensity (15° ≤ 2θ ≤ 90°):
- hkl 1 1 0, 29.25°, rel. 1000
- hkl 0 0 2, 26.24°, rel. 667
- hkl 1 1 2, 39.77°, rel. 464
- hkl 1 1 -2, 39.61°, rel. 421
- hkl 1 1 1, 32.14°, rel. 344
- hkl 0 1 0, 19.45°, rel. 277
- hkl 0 2 2, 48.02°, rel. 232
- hkl 1 0 0, 21.63°, rel. 215
- hkl 0 2 0, 39.48°, rel. 213
- hkl 2 0 0, 44.09°, rel. 152

Crystal structure
Cell lengths 4.108, 4.565, 6.794 Å; angles 90.00, 90.29, 90.00 degrees
Space group P2/m (No. 10)
Symmetry-distinct sites (fractional):
K1 0.000 0.000 0.000 (multiplicity 1)
Ca1 0.500 0.500 0.500 (multiplicity 1)
Zn1 0.000 0.000 0.500 (multiplicity 1)

***

Record 2
Starting from the PBE geometry in Alexandria, the PXRD pattern of Ga4RuRh3 was computed for Cu Kα, 1.54184 Å.

Main lines, in order of falling intensity (15° ≤ 2θ ≤ 90°):
- hkl 2 0 0, 42.16°, rel. 1000
- hkl 3 1 2, 77.06°, rel. 322
- hkl 2 2 0, 61.14°, rel. 162
- hkl 0 0 2, 29.47°, rel. 43
- hkl 1 1 4, 69.31°, rel. 14
- hkl 2 0 2, 52.27°, rel. 11

Crystal structure
Cell lengths 4.286, 4.286, 6.065 Å; angles 90.00, 90.00, 90.00 degrees
Space group P4/mmm (No. 123)
Symmetry-distinct sites (fractional):
Ga1 0.000 0.500 0.247 (multiplicity 4)
Ru1 0.000 0.000 0.000 (multiplicity 1)
Rh1 0.000 0.000 0.500 (multiplicity 1)
Rh2 0.500 0.500 0.000 (multiplicity 1)
Rh3 0.500 0.500 0.500 (multiplicity 1)

***

Record 3
Starting from the PBE geometry in Alexandria, the PXRD pattern of Ho5Tm12Zr2 was computed for Cu Kα, 1.54184 Å.

Main lines, in order of falling intensity (15° ≤ 2θ ≤ 90°):
- hkl 6 0 0, 31.86°, rel. 1000
- hkl 4 2 0, 32.44°, rel. 490
- hkl 2 2 1, 29.78°, rel. 406
- hkl 10 2 0, 60.48°, rel. 333
- hkl 1 1 -3, 31.65°, rel. 268
- hkl 4 2 -1, 31.73°, rel. 265
- hkl 0 0 3, 30.51°, rel. 230
- hkl 2 2 -2, 31.28°, rel. 230
- hkl 4 0 -3, 30.65°, rel. 228
- hkl 0 4 0, 49.91°, rel. 188

Crystal structure
Cell lengths 17.922, 7.309, 9.351 Å; angles 90.00, 109.94, 90.00 degrees
Space group C2/m (No. 12)
Symmetry-distinct sites (fractional):
Ho1 0.000 0.000 0.000 (multiplicity 2)
Ho2 0.188 0.500 0.709 (multiplicity 4)
Ho3 0.202 0.000 0.711 (multiplicity 4)
Tm1 0.004 0.500 0.185 (multiplicity 4)
Tm2 0.018 0.000 0.691 (multiplicity 4)
Tm3 0.156 0.245 0.374 (multiplicity 8)
Tm4 0.158 0.247 0.004 (multiplicity 8)
Zr1 0.000 0.323 0.500 (multiplicity 4)

***

Q: Which formula does entry 2 have?
A: Ga4RuRh3